(1)
Theoretical PXRD pattern of MgCr4O12 for Cu Kα (weighted mean of Kα1 and Kα2), from a PBE+U-relaxed structure.

Cell and atoms:
```
data_MgCr4O12
_chemical_formula_sum 'Mg1 Cr4 O12'
_space_group_name_H-M_alt 'P 1'
_space_group_IT_number 1
_cell_length_a 6.980
_cell_length_b 6.980
_cell_length_c 5.711
_cell_angle_alpha 104.44
_cell_angle_beta 104.44
_cell_angle_gamma 83.97
loop_
_space_group_symop_operation_xyz
'x,y,z'
loop_
_atom_site_label
_atom_site_type_symbol
_atom_site_fract_x
_atom_site_fract_y
_atom_site_fract_z
Mg1 Mg 0.000 0.000 0.000
Cr1 Cr 0.104 0.476 0.016
Cr2 Cr 0.293 0.293 0.508
Cr3 Cr 0.524 0.896 0.984
Cr4 Cr 0.707 0.707 0.492
O1 O 0.015 0.708 0.050
O2 O 0.127 0.127 0.377
O3 O 0.263 0.429 0.796
O4 O 0.280 0.443 0.303
O5 O 0.292 0.985 0.950
O6 O 0.508 0.183 0.544
O7 O 0.557 0.720 0.697
O8 O 0.571 0.737 0.204
O9 O 0.706 0.046 0.057
O10 O 0.817 0.492 0.456
O11 O 0.873 0.873 0.623
O12 O 0.954 0.294 0.943
```

Most intense lines, 2θ = 10–90°, most intense first:
25.26 deg, I 100; 18.15 deg, I 92; 27.75 deg, I 86; 29.02 deg, I 40; 19.01 deg, I 36; 33.31 deg, I 34; 32.15 deg, I 28; 51.88 deg, I 23; 34.48 deg, I 22; 18.55 deg, I 20


(2)
Theoretical PXRD pattern of MgMnF5 for Cu Kα (weighted mean of Kα1 and Kα2), from a PBE+U-relaxed structure.

Cell and atoms:
```
data_MgMnF5
_chemical_formula_sum 'Mg4 Mn4 F20'
_space_group_name_H-M_alt 'P 1'
_space_group_IT_number 1
_cell_length_a 5.096
_cell_length_b 9.589
_cell_length_c 7.812
_cell_angle_alpha 90.00
_cell_angle_beta 109.98
_cell_angle_gamma 90.00
loop_
_space_group_symop_operation_xyz
'x,y,z'
loop_
_atom_site_label
_atom_site_type_symbol
_atom_site_fract_x
_atom_site_fract_y
_atom_site_fract_z
Mg1 Mg 0.023 0.011 0.228
Mg2 Mg 0.023 0.489 0.728
Mg3 Mg 0.977 0.511 0.272
Mg4 Mg 0.977 0.989 0.772
Mn1 Mn 0.388 0.244 0.614
Mn2 Mn 0.388 0.256 0.114
Mn3 Mn 0.612 0.744 0.886
Mn4 Mn 0.612 0.756 0.386
F1 F 0.094 0.116 0.608
F2 F 0.094 0.384 0.108
F3 F 0.134 0.108 0.001
F4 F 0.134 0.392 0.501
F5 F 0.300 0.164 0.344
F6 F 0.300 0.336 0.844
F7 F 0.312 0.631 0.354
F8 F 0.312 0.869 0.854
F9 F 0.361 0.606 0.774
F10 F 0.361 0.894 0.274
F11 F 0.639 0.106 0.726
F12 F 0.639 0.394 0.226
F13 F 0.688 0.131 0.146
F14 F 0.688 0.369 0.646
F15 F 0.700 0.664 0.156
F16 F 0.700 0.836 0.656
F17 F 0.866 0.608 0.499
F18 F 0.866 0.892 0.999
F19 F 0.906 0.616 0.892
F20 F 0.906 0.884 0.392
```

Most intense lines, 2θ = 10–90°, most intense first:
26.30 deg, I 100; 25.99 deg, I 99; 20.73 deg, I 76; 26.72 deg, I 57; 47.44 deg, I 43; 39.89 deg, I 34; 53.84 deg, I 34; 52.63 deg, I 31; 18.51 deg, I 25; 45.79 deg, I 24


(3)
Theoretical PXRD pattern of MnP2O7 for Cu Kα (weighted mean of Kα1 and Kα2), from a PBE+U-relaxed structure.

Cell and atoms:
```
data_MnP2O7
_chemical_formula_sum 'Mn4 P8 O28'
_space_group_name_H-M_alt 'P 1'
_space_group_IT_number 1
_cell_length_a 4.913
_cell_length_b 12.471
_cell_length_c 9.240
_cell_angle_alpha 90.00
_cell_angle_beta 121.11
_cell_angle_gamma 90.00
loop_
_space_group_symop_operation_xyz
'x,y,z'
loop_
_atom_site_label
_atom_site_type_symbol
_atom_site_fract_x
_atom_site_fract_y
_atom_site_fract_z
Mn1 Mn 0.125 0.149 0.346
Mn2 Mn 0.125 0.351 0.846
Mn3 Mn 0.875 0.649 0.154
Mn4 Mn 0.875 0.851 0.654
P1 P 0.276 0.695 0.556
P2 P 0.276 0.805 0.056
P3 P 0.397 0.020 0.698
P4 P 0.397 0.480 0.198
P5 P 0.603 0.520 0.802
P6 P 0.603 0.980 0.302
P7 P 0.724 0.195 0.944
P8 P 0.724 0.305 0.444
O1 O 0.015 0.187 0.122
O2 O 0.015 0.313 0.622
O3 O 0.173 0.532 0.248
O4 O 0.173 0.968 0.748
O5 O 0.200 0.740 0.172
O6 O 0.200 0.760 0.672
O7 O 0.232 0.111 0.571
O8 O 0.232 0.389 0.071
O9 O 0.333 0.573 0.628
O10 O 0.333 0.927 0.128
O11 O 0.418 0.230 0.935
O12 O 0.418 0.270 0.435
O13 O 0.453 0.060 0.363
O14 O 0.453 0.440 0.863
O15 O 0.547 0.560 0.137
O16 O 0.547 0.940 0.637
O17 O 0.582 0.730 0.565
O18 O 0.582 0.770 0.065
O19 O 0.667 0.073 0.872
O20 O 0.667 0.427 0.372
O21 O 0.768 0.611 0.929
O22 O 0.768 0.889 0.429
O23 O 0.800 0.240 0.328
O24 O 0.800 0.260 0.828
O25 O 0.827 0.032 0.252
O26 O 0.827 0.468 0.752
O27 O 0.985 0.687 0.378
O28 O 0.985 0.813 0.878
```

Most intense lines, 2θ = 10–90°, most intense first:
23.05 deg, I 100; 23.60 deg, I 43; 36.08 deg, I 24; 18.11 deg, I 20; 13.25 deg, I 18; 26.69 deg, I 17; 25.54 deg, I 12; 36.55 deg, I 11; 25.83 deg, I 10; 34.77 deg, I 9


(4)
Theoretical PXRD pattern of K2FeO4 for Cu Kα (weighted mean of Kα1 and Kα2), from a PBE+U-relaxed structure.

Cell and atoms:
```
data_K2FeO4
_chemical_formula_sum 'K8 Fe4 O16'
_space_group_name_H-M_alt 'P 1'
_space_group_IT_number 1
_cell_length_a 7.798
_cell_length_b 5.941
_cell_length_c 10.511
_cell_angle_alpha 90.00
_cell_angle_beta 90.00
_cell_angle_gamma 90.00
loop_
_space_group_symop_operation_xyz
'x,y,z'
loop_
_atom_site_label
_atom_site_type_symbol
_atom_site_fract_x
_atom_site_fract_y
_atom_site_fract_z
K1 K 0.014 0.250 0.196
K2 K 0.163 0.750 0.415
K3 K 0.337 0.250 0.915
K4 K 0.486 0.750 0.696
K5 K 0.514 0.250 0.304
K6 K 0.663 0.750 0.085
K7 K 0.837 0.250 0.585
K8 K 0.986 0.750 0.804
Fe1 Fe 0.230 0.750 0.078
Fe2 Fe 0.270 0.250 0.578
Fe3 Fe 0.730 0.750 0.422
Fe4 Fe 0.770 0.250 0.922
O1 O 0.018 0.750 0.083
O2 O 0.193 0.022 0.649
O3 O 0.193 0.478 0.649
O4 O 0.201 0.250 0.428
O5 O 0.299 0.750 0.928
O6 O 0.307 0.522 0.149
O7 O 0.307 0.978 0.149
O8 O 0.482 0.250 0.583
O9 O 0.518 0.750 0.417
O10 O 0.693 0.022 0.851
O11 O 0.693 0.478 0.851
O12 O 0.701 0.250 0.072
O13 O 0.799 0.750 0.572
O14 O 0.807 0.522 0.351
O15 O 0.807 0.978 0.351
O16 O 0.982 0.250 0.917
```

Most intense lines, 2θ = 10–90°, most intense first:
29.60 deg, I 100; 30.08 deg, I 64; 28.67 deg, I 57; 20.61 deg, I 52; 28.51 deg, I 31; 41.92 deg, I 30; 20.38 deg, I 27; 22.81 deg, I 23; 38.77 deg, I 22; 35.58 deg, I 20


(5)
Theoretical PXRD pattern of MgVSi2O6 for Cu Kα (weighted mean of Kα1 and Kα2), from a PBE+U-relaxed structure.

Cell and atoms:
```
data_MgVSi2O6
_chemical_formula_sum 'Mg2 V2 Si4 O12'
_space_group_name_H-M_alt 'P 1'
_space_group_IT_number 1
_cell_length_a 5.430
_cell_length_b 6.787
_cell_length_c 6.793
_cell_angle_alpha 85.71
_cell_angle_beta 75.36
_cell_angle_gamma 75.00
loop_
_space_group_symop_operation_xyz
'x,y,z'
loop_
_atom_site_label
_atom_site_type_symbol
_atom_site_fract_x
_atom_site_fract_y
_atom_site_fract_z
Mg1 Mg 0.249 0.255 0.243
Mg2 Mg 0.751 0.745 0.757
V1 V 0.253 0.597 0.905
V2 V 0.747 0.403 0.095
Si1 Si 0.220 0.713 0.388
Si2 Si 0.280 0.114 0.787
Si3 Si 0.720 0.886 0.213
Si4 Si 0.780 0.287 0.612
O1 O 0.054 0.136 0.657
O2 O 0.131 0.641 0.622
O3 O 0.164 0.287 0.967
O4 O 0.333 0.531 0.217
O5 O 0.371 0.880 0.861
O6 O 0.446 0.841 0.364
O7 O 0.554 0.159 0.636
O8 O 0.629 0.120 0.139
O9 O 0.667 0.469 0.783
O10 O 0.836 0.713 0.033
O11 O 0.869 0.359 0.378
O12 O 0.946 0.864 0.343
```

Most intense lines, 2θ = 10–90°, most intense first:
28.52 deg, I 100; 30.33 deg, I 69; 35.28 deg, I 36; 13.49 deg, I 35; 40.69 deg, I 31; 60.12 deg, I 19; 33.70 deg, I 18; 27.17 deg, I 17; 54.95 deg, I 16; 54.90 deg, I 16


(6)
Theoretical PXRD pattern of RbFeP2O7 for Cu Kα (weighted mean of Kα1 and Kα2), from a PBE+U-relaxed structure.

Cell and atoms:
```
data_RbFeP2O7
_chemical_formula_sum 'Rb4 Fe4 P8 O28'
_space_group_name_H-M_alt 'P 1'
_space_group_IT_number 1
_cell_length_a 7.630
_cell_length_b 10.158
_cell_length_c 8.413
_cell_angle_alpha 90.00
_cell_angle_beta 105.91
_cell_angle_gamma 90.00
loop_
_space_group_symop_operation_xyz
'x,y,z'
loop_
_atom_site_label
_atom_site_type_symbol
_atom_site_fract_x
_atom_site_fract_y
_atom_site_fract_z
Rb1 Rb 0.187 0.187 0.052
Rb2 Rb 0.187 0.313 0.552
Rb3 Rb 0.813 0.687 0.448
Rb4 Rb 0.813 0.813 0.948
Fe1 Fe 0.239 0.600 0.259
Fe2 Fe 0.239 0.900 0.759
Fe3 Fe 0.761 0.100 0.241
Fe4 Fe 0.761 0.400 0.741
P1 P 0.130 0.596 0.831
P2 P 0.130 0.904 0.331
P3 P 0.432 0.631 0.686
P4 P 0.432 0.869 0.186
P5 P 0.568 0.131 0.814
P6 P 0.568 0.369 0.314
P7 P 0.870 0.096 0.669
P8 P 0.870 0.404 0.169
O1 O 0.009 0.502 0.272
O2 O 0.009 0.998 0.772
O3 O 0.085 0.735 0.760
O4 O 0.085 0.765 0.260
O5 O 0.151 0.588 0.014
O6 O 0.151 0.912 0.514
O7 O 0.322 0.604 0.509
O8 O 0.322 0.896 0.009
O9 O 0.326 0.553 0.803
O10 O 0.326 0.947 0.303
O11 O 0.376 0.073 0.768
O12 O 0.376 0.427 0.268
O13 O 0.442 0.723 0.238
O14 O 0.442 0.777 0.738
O15 O 0.558 0.223 0.262
O16 O 0.558 0.277 0.762
O17 O 0.624 0.573 0.732
O18 O 0.624 0.927 0.232
O19 O 0.674 0.053 0.697
O20 O 0.674 0.447 0.197
O21 O 0.678 0.104 0.991
O22 O 0.678 0.396 0.491
O23 O 0.849 0.088 0.486
O24 O 0.849 0.412 0.986
O25 O 0.915 0.235 0.740
O26 O 0.915 0.265 0.240
O27 O 0.991 0.002 0.228
O28 O 0.991 0.498 0.728
```

Most intense lines, 2θ = 10–90°, most intense first:
29.34 deg, I 100; 29.61 deg, I 78; 29.04 deg, I 52; 28.21 deg, I 33; 25.48 deg, I 32; 21.98 deg, I 30; 23.68 deg, I 28; 28.58 deg, I 24; 24.26 deg, I 18; 41.95 deg, I 18


(7)
Theoretical PXRD pattern of Li3FeF6 for Cu Kα (weighted mean of Kα1 and Kα2), from a PBE+U-relaxed structure.

Cell and atoms:
```
data_Li3FeF6
_chemical_formula_sum 'Li3 Fe1 F6'
_space_group_name_H-M_alt 'P 1'
_space_group_IT_number 1
_cell_length_a 4.972
_cell_length_b 4.972
_cell_length_c 4.936
_cell_angle_alpha 90.00
_cell_angle_beta 90.00
_cell_angle_gamma 120.00
loop_
_space_group_symop_operation_xyz
'x,y,z'
loop_
_atom_site_label
_atom_site_type_symbol
_atom_site_fract_x
_atom_site_fract_y
_atom_site_fract_z
Li1 Li 0.000 0.000 0.000
Li2 Li 0.333 0.667 0.000
Li3 Li 0.667 0.333 0.000
Fe1 Fe 0.000 0.000 0.500
F1 F 0.000 0.307 0.758
F2 F 0.000 0.693 0.242
F3 F 0.307 0.000 0.758
F4 F 0.307 0.307 0.242
F5 F 0.693 0.000 0.242
F6 F 0.693 0.693 0.758
```

Most intense lines, 2θ = 10–90°, most intense first:
20.63 deg, I 100; 40.64 deg, I 73; 27.49 deg, I 65; 52.23 deg, I 47; 64.98 deg, I 20; 45.99 deg, I 16; 59.84 deg, I 16; 56.74 deg, I 13; 42.20 deg, I 13; 17.97 deg, I 12


(8)
Theoretical PXRD pattern of ZnNi4O5 for Cu Kα (weighted mean of Kα1 and Kα2), from a PBE+U-relaxed structure.

Cell and atoms:
```
data_ZnNi4O5
_chemical_formula_sum 'Zn1 Ni4 O5'
_space_group_name_H-M_alt 'P 1'
_space_group_IT_number 1
_cell_length_a 5.202
_cell_length_b 5.202
_cell_length_c 7.357
_cell_angle_alpha 118.13
_cell_angle_beta 118.13
_cell_angle_gamma 33.56
loop_
_space_group_symop_operation_xyz
'x,y,z'
loop_
_atom_site_label
_atom_site_type_symbol
_atom_site_fract_x
_atom_site_fract_y
_atom_site_fract_z
Zn1 Zn 0.000 0.000 0.000
Ni1 Ni 0.200 0.200 0.799
Ni2 Ni 0.400 0.400 0.599
Ni3 Ni 0.600 0.600 0.401
Ni4 Ni 0.800 0.800 0.201
O1 O 0.000 0.000 0.500
O2 O 0.201 0.201 0.303
O3 O 0.398 0.398 0.102
O4 O 0.602 0.602 0.898
O5 O 0.799 0.799 0.697
```

Most intense lines, 2θ = 10–90°, most intense first:
42.57 deg, I 100; 36.65 deg, I 76; 61.78 deg, I 58; 74.02 deg, I 30; 77.92 deg, I 18